NaLiSn2Au4: theoretical powder diffractogram (Cu Kα), based on a crystal structure in Alexandria, relaxed with GGA-PBE.
Neutral-atom scattering factors, no anomalous dispersion.

Most intense lines, 5 to 70 degrees two-theta, by angle:
(0 1 2), 2θ = 22.75°, I 12; (1 0 4), 2θ = 26.11°, I 54; (1 0 7), 2θ = 33.78°, I 11; (0 1 8), 2θ = 36.79°, I 86; (1 1 0), 2θ = 37.73°, I 100; (0 2 4), 2θ = 46.46°, I 12; (2 0 8), 2θ = 53.72°, I 29; (1 0 16), 2θ = 65.62°, I 11; (1 2 8), 2θ = 67.50°, I 30; (3 0 0), 2θ = 68.11°, I 18

Structural model:
a b c (Å): 4.7688 4.7688 24.2431
angles (deg): 90.00 90.00 120.00
Space group R-3m (No. 166, hexagonal axes)
Inequivalent atoms, fractional coordinates:
1 Na 0.0000 0.0000 0.0000 (multiplicity 3)
2 Li 0.0000 0.0000 0.5000 (multiplicity 3)
3 Sn 0.0000 0.0000 0.2513 (multiplicity 6)
4 Au 0.0000 0.0000 0.1333 (multiplicity 6)
5 Au 0.0000 0.0000 0.3877 (multiplicity 6)